Calculated X-ray powder pattern
Compound: Dy3ErRh8
Radiation: Cu Kα (λ = 1.5418 Å)
Structure: a GGA-PBE-relaxed structure
Lines closer than 0.1° are merged.

Peak list (10 most intense, 2θ = 10–90°, by angle)
h k l	2theta	I/Imax
1 1 0	33.63	42
1 1 6	39.66	100
0 0 12	41.50	27
2 0 8	48.30	1
3 0 0	60.14	16
2 0 14	64.21	32
2 2 0	70.70	26
3 1 8	80.61	7
1 0 22	84.24	11
2 2 12	85.45	10

abc: 5.3308 5.3308 26.0979
angles: 90.00 90.00 120.00
Space group R3m (No. 160, hexagonal axes)
Unique sites:
Dy  0.0000  0.0000  0.0000 [3 per cell]
Dy  0.0000  0.0000  0.1254 [3 per cell]
Dy  0.0000  0.0000  0.5004 [3 per cell]
Er  0.0000  0.0000  0.6255 [3 per cell]
Rh  0.0000  0.0000  0.3128 [3 per cell]
Rh  0.0000  0.0000  0.8128 [3 per cell]
Rh  0.9998  0.4999  0.0626 [9 per cell]
Rh  0.0001  0.5001  0.5630 [9 per cell]